For KGaSe2O6, DFT lattice parameters and positions (PBE) gives the theoretical powder diffractogram in this record (Cu Kα (weighted mean of Kα1 and Kα2)).
Lines closer than 0.1° are merged.

The 6 most intense peaks (2θ from 10° to 90°), by angle:
| index | 2θ/deg | I (rel.) |
| --- | --- | --- |
| 1 0 1 | 13.26 | 96.2 |
| 2 0 1 | 16.66 | 96.3 |
| 3 1 1 | 26.87 | 100.0 |
| 1 1 2 | 29.75 | 54.4 |
| 4 1 1 | 31.11 | 88.3 |
| 0 2 0 | 33.04 | 67.2 |

Atomic structure:
```
data_KGaSe2O6
_chemical_formula_sum 'K4 Ga4 Se8 O24'
_symmetry_space_group_name_H-M 'P n m a'
_symmetry_Int_Tables_number 62
_cell_length_a 15.2453
_cell_length_b 5.4223
_cell_length_c 7.4288
_cell_angle_alpha 90.00
_cell_angle_beta 90.00
_cell_angle_gamma 90.00
loop_
_symmetry_equiv_pos_as_xyz
'x,y,z'
'-x,-y,-z'
'-x+1/2,-y,z+1/2'
'x+1/2,y,-z+1/2'
'x+1/2,-y+1/2,-z+1/2'
'-x+1/2,y+1/2,z+1/2'
'-x,y+1/2,-z'
'x,-y+1/2,z'
loop_
_atom_site_label
_atom_site_type_symbol
_atom_site_fract_x
_atom_site_fract_y
_atom_site_fract_z
K1 K 0.1106 0.2500 0.0741
Ga1 Ga 0.1276 0.7500 0.6910
Se1 Se 0.0232 0.2500 0.6153
Se2 Se 0.2253 0.2500 0.4940
O1 O 0.0331 0.0027 0.7616
O2 O 0.0886 0.7500 0.4291
O3 O 0.1628 0.7500 0.9501
O4 O 0.2206 0.0049 0.6439
```